# CeNiTeO6
Computed powder X-ray diffraction pattern, Cu Kα X-rays. Input: a DFT-relaxed cell (PBE+U, Alexandria).

Crystal structure
a = 4.9136 Å, b = 4.9136 Å, c = 9.6976 Å
α = 90.00°, β = 90.00°, γ = 90.00°
Fractional positions:
Ce 0.0000 0.0000 0.0000
Ce 0.5000 0.5000 0.5000
Ni 0.0000 0.0000 0.6717
Ni 0.5000 0.5000 0.1717
Te 0.0000 0.0000 0.3380
Te 0.5000 0.5000 0.8380
O 0.1783 0.1783 0.4946
O 0.1927 0.1927 0.1917
O 0.2167 0.2167 0.8322
O 0.2833 0.7167 0.3322
O 0.3073 0.6927 0.6917
O 0.3217 0.6783 0.9946
O 0.6783 0.3217 0.9946
O 0.6927 0.3073 0.6917
O 0.7167 0.2833 0.3322
O 0.7833 0.7833 0.8322
O 0.8073 0.8073 0.1917
O 0.8217 0.8217 0.4946

The 12 most intense peaks (10° ≤ 2θ ≤ 80°), most intense first:
h k l	Position (°2θ)	I_rel
1 1 0	25.64	100
1 0 3	33.17	77
2 1 3	50.20	65
2 0 0	36.58	21
3 0 3	63.69	20
2 2 0	52.69	17
3 1 0	59.49	15
1 1 6	63.48	15
3 2 3	75.75	13
1 0 1	20.26	12
2 0 6	69.64	9
0 0 6	56.98	8